RbPm2Hg2O6: simulated powder diffraction line list (Cu Kα X-rays), based on a DFT-relaxed cell (PBE, Alexandria).
No peak broadening, texture or thermal motion is included.

Crystal structure
Cell lengths 6.744, 6.751, 7.243 Å; angles 94.51, 111.09, 119.62 degrees
Fractional positions:
Rb  0.000  0.000  0.000
Pm  0.342  0.672  0.015
Pm  0.658  0.328  0.985
Hg  0.199  0.786  0.495
Hg  0.801  0.214  0.505
O  0.099  0.660  0.194
O  0.306  0.919  0.796
O  0.496  0.457  0.156
O  0.504  0.543  0.844
O  0.694  0.081  0.204
O  0.901  0.340  0.806

The 10 most intense peaks (10 to 80 degrees two-theta), by intensity:
d 3.044, 2θ 29.34, I = 100; d 5.736, 2θ 15.45, I = 94; d 3.205, 2θ 27.83, I = 67; d 3.347, 2θ 26.63, I = 66; d 3.088, 2θ 28.92, I = 60; d 2.953, 2θ 30.27, I = 55; d 2.880, 2θ 31.06, I = 34; d 2.187, 2θ 41.29, I = 32; d 2.469, 2θ 36.39, I = 28; d 1.778, 2θ 51.38, I = 25

PmRe2HgO8: simulated powder diffraction line list (Cu Kα X-rays), based on a DFT-relaxed cell (PBE, Alexandria).
No peak broadening, texture or thermal motion is included.

Crystal structure
Cell lengths 6.873, 6.873, 6.873 Å; angles 60.17, 60.17, 60.17 degrees
Fractional positions:
Pm  0.000  0.000  0.000
Re  0.250  0.250  0.250
Re  0.750  0.750  0.750
Hg  0.500  0.500  0.500
O  0.144  0.147  0.565
O  0.145  0.145  0.145
O  0.147  0.565  0.144
O  0.435  0.856  0.853
O  0.565  0.144  0.147
O  0.853  0.435  0.856
O  0.855  0.855  0.855
O  0.856  0.853  0.435

The 10 most intense peaks (10 to 80 degrees two-theta), by intensity:
d 3.441, 2θ 25.89, I = 100; d 1.988, 2θ 45.64, I = 32; d 2.433, 2θ 36.95, I = 14; d 1.302, 2θ 72.62, I = 11; d 1.982, 2θ 45.77, I = 11; d 1.540, 2θ 60.08, I = 9; d 1.538, 2θ 60.18, I = 9; d 1.723, 2θ 53.17, I = 9; d 1.718, 2θ 53.32, I = 9; d 1.300, 2θ 72.73, I = 6

PmHgSeO5: simulated powder diffraction line list (Cu Kα X-rays), based on a DFT-relaxed cell (PBE, Alexandria).
No peak broadening, texture or thermal motion is included.

Crystal structure
Cell lengths 6.379, 6.379, 8.405 Å; angles 106.74, 106.74, 102.10 degrees
Fractional positions:
Pm  0.000  0.500  0.000
Pm  0.500  0.000  0.500
Hg  0.054  0.946  0.750
Hg  0.946  0.054  0.250
Se  0.431  0.569  0.750
Se  0.569  0.431  0.250
O  0.171  0.829  0.250
O  0.282  0.339  0.137
O  0.298  0.634  0.893
O  0.339  0.282  0.637
O  0.366  0.702  0.607
O  0.634  0.298  0.393
O  0.661  0.718  0.363
O  0.702  0.366  0.107
O  0.718  0.661  0.863
O  0.829  0.171  0.750

The 10 most intense peaks (10 to 80 degrees two-theta), by intensity:
d 2.991, 2θ 29.87, I = 100; d 3.502, 2θ 25.44, I = 97; d 3.924, 2θ 22.66, I = 87; d 2.984, 2θ 29.94, I = 82; d 2.895, 2θ 30.89, I = 56; d 1.931, 2θ 47.07, I = 32; d 1.907, 2θ 47.68, I = 28; d 1.800, 2θ 50.73, I = 26; d 1.757, 2θ 52.05, I = 25; d 5.790, 2θ 15.30, I = 25

PmTcHgO6: simulated powder diffraction line list (Cu Kα X-rays), based on a DFT-relaxed cell (PBE, Alexandria).
No peak broadening, texture or thermal motion is included.

Crystal structure
Cell lengths 5.401, 5.825, 5.833 Å; angles 119.56, 99.09, 99.03 degrees
Fractional positions:
Pm  0.000  0.000  0.000
Tc  0.002  0.357  0.644
Hg  0.502  0.688  0.310
O  0.189  0.126  0.458
O  0.219  0.360  0.995
O  0.226  0.673  0.743
O  0.777  0.259  0.328
O  0.783  0.003  0.639
O  0.813  0.541  0.874

The 10 most intense peaks (10 to 80 degrees two-theta), by intensity:
d 4.146, 2θ 21.43, I = 100; d 3.594, 2θ 24.77, I = 90; d 2.876, 2θ 31.09, I = 72; d 3.132, 2θ 28.50, I = 47; d 2.481, 2θ 36.20, I = 31; d 2.089, 2θ 43.31, I = 27; d 2.275, 2θ 39.62, I = 27; d 2.787, 2θ 32.12, I = 24; d 1.777, 2θ 51.42, I = 23; d 1.625, 2θ 56.62, I = 20

PrHgSO6: simulated powder diffraction line list (Cu Kα X-rays), based on a DFT-relaxed cell (PBE, Alexandria).
No peak broadening, texture or thermal motion is included.

Crystal structure
Cell lengths 4.980, 5.440, 6.342 Å; angles 109.30, 109.03, 92.01 degrees
Fractional positions:
Pr  0.000  0.000  0.000
Hg  0.741  0.218  0.489
S  0.269  0.695  0.493
O  0.127  0.746  0.671
O  0.159  0.844  0.333
O  0.207  0.407  0.352
O  0.580  0.070  0.126
O  0.584  0.776  0.617
O  0.902  0.346  0.848

The 10 most intense peaks (10 to 80 degrees two-theta), by intensity:
d 5.068, 2θ 17.50, I = 100; d 3.076, 2θ 29.03, I = 94; d 3.181, 2θ 28.05, I = 89; d 3.137, 2θ 28.46, I = 80; d 4.693, 2θ 18.91, I = 72; d 4.439, 2θ 20.00, I = 72; d 2.705, 2θ 33.11, I = 66; d 4.647, 2θ 19.10, I = 65; d 2.879, 2θ 31.06, I = 60; d 2.794, 2θ 32.03, I = 56

HgPt2O: simulated powder diffraction line list (Cu Kα X-rays), based on a DFT-relaxed cell (PBE, Alexandria).
No peak broadening, texture or thermal motion is included.

Crystal structure
Cell lengths 5.631, 5.631, 5.631 Å; angles 118.38, 109.32, 101.18 degrees
Fractional positions:
Hg  0.000  0.000  0.000
Hg  0.500  0.000  0.500
Pt  0.000  0.500  0.500
Pt  0.500  0.000  0.000
Pt  0.500  0.500  0.000
Pt  0.500  0.500  0.500
O  0.097  0.347  0.750
O  0.903  0.653  0.250

The 10 most intense peaks (10 to 80 degrees two-theta), by intensity:
d 2.408, 2θ 37.35, I = 100; d 2.245, 2θ 40.17, I = 79; d 2.159, 2θ 41.84, I = 68; d 4.815, 2θ 18.42, I = 52; d 1.377, 2θ 68.10, I = 36; d 1.318, 2θ 71.58, I = 31; d 2.474, 2θ 36.31, I = 26; d 1.237, 2θ 77.09, I = 25; d 1.788, 2θ 51.10, I = 20; d 1.629, 2θ 56.51, I = 16

HgPt3O8: simulated powder diffraction line list (Cu Kα X-rays), based on a DFT-relaxed cell (PBE, Alexandria).
No peak broadening, texture or thermal motion is included.

Crystal structure
Cell lengths 6.259, 6.259, 10.348 Å; angles 90.00, 90.00, 120.00 degrees
Fractional positions:
Hg  0.333  0.667  0.000
Hg  0.667  0.333  0.500
Pt  0.167  0.334  0.715
Pt  0.167  0.833  0.715
Pt  0.334  0.167  0.215
Pt  0.666  0.833  0.715
Pt  0.833  0.167  0.215
Pt  0.833  0.666  0.215
O  0.000  0.000  0.311
O  0.000  0.000  0.811
O  0.040  0.520  0.817
O  0.151  0.302  0.118
O  0.151  0.849  0.118
O  0.302  0.151  0.618
O  0.333  0.667  0.618
O  0.480  0.520  0.817
O  0.480  0.960  0.817
O  0.520  0.040  0.317
O  0.520  0.480  0.317
O  0.667  0.333  0.118
O  0.698  0.849  0.118
O  0.849  0.151  0.618
O  0.849  0.698  0.618
O  0.960  0.480  0.317

The 10 most intense peaks (10 to 80 degrees two-theta), by intensity:
d 2.622, 2θ 34.20, I = 100; d 4.802, 2θ 18.48, I = 86; d 5.174, 2θ 17.14, I = 71; d 2.678, 2θ 33.46, I = 59; d 1.645, 2θ 55.90, I = 50; d 2.910, 2θ 30.72, I = 46; d 2.131, 2θ 42.42, I = 43; d 3.743, 2θ 23.77, I = 35; d 1.565, 2θ 59.04, I = 31; d 2.710, 2θ 33.05, I = 27

SmHgPtO4: simulated powder diffraction line list (Cu Kα X-rays), based on a DFT-relaxed cell (PBE, Alexandria).
No peak broadening, texture or thermal motion is included.

Crystal structure
Cell lengths 6.731, 6.731, 6.731 Å; angles 123.58, 111.74, 94.39 degrees
Fractional positions:
Sm  0.000  0.000  0.000
Sm  0.500  0.000  0.500
Hg  0.397  0.647  0.750
Hg  0.603  0.353  0.250
Pt  0.000  0.000  0.500
Pt  0.000  0.500  0.000
O  0.173  0.748  0.426
O  0.178  0.252  0.926
O  0.227  0.200  0.473
O  0.227  0.754  0.027
O  0.773  0.246  0.973
O  0.773  0.800  0.527
O  0.822  0.748  0.074
O  0.827  0.252  0.574

The 10 most intense peaks (10 to 80 degrees two-theta), by intensity:
d 2.792, 2θ 32.06, I = 100; d 3.060, 2θ 29.18, I = 77; d 1.666, 2θ 55.11, I = 57; d 2.912, 2θ 30.70, I = 56; d 3.333, 2θ 26.75, I = 51; d 2.750, 2θ 32.56, I = 49; d 1.930, 2θ 47.09, I = 45; d 2.827, 2θ 31.64, I = 32; d 3.777, 2θ 23.56, I = 30; d 1.888, 2θ 48.19, I = 22

SnHgPtO6: simulated powder diffraction line list (Cu Kα X-rays), based on a DFT-relaxed cell (PBE, Alexandria).
No peak broadening, texture or thermal motion is included.

Crystal structure
Cell lengths 5.427, 5.427, 9.466 Å; angles 90.00, 90.00, 120.00 degrees
Fractional positions:
Sn  0.333  0.667  0.250
Sn  0.667  0.333  0.750
Hg  0.000  0.000  0.000
Hg  0.000  0.000  0.500
Pt  0.333  0.667  0.750
Pt  0.667  0.333  0.250
O  0.016  0.378  0.634
O  0.016  0.638  0.866
O  0.362  0.378  0.866
O  0.362  0.984  0.634
O  0.378  0.016  0.134
O  0.378  0.362  0.366
O  0.622  0.638  0.634
O  0.622  0.984  0.866
O  0.638  0.016  0.366
O  0.638  0.622  0.134
O  0.984  0.362  0.134
O  0.984  0.622  0.366

The 10 most intense peaks (10 to 80 degrees two-theta), by intensity:
d 3.335, 2θ 26.73, I = 100; d 2.714, 2θ 33.01, I = 49; d 1.784, 2θ 51.22, I = 41; d 2.105, 2θ 42.97, I = 28; d 1.663, 2θ 55.23, I = 28; d 1.567, 2θ 58.95, I = 15; d 1.257, 2θ 75.67, I = 11; d 1.306, 2θ 72.33, I = 10; d 1.496, 2θ 62.06, I = 10; d 2.366, 2θ 38.03, I = 9

YHgPtO4: simulated powder diffraction line list (Cu Kα X-rays), based on a DFT-relaxed cell (PBE, Alexandria).
No peak broadening, texture or thermal motion is included.

Crystal structure
Cell lengths 6.659, 6.659, 6.659 Å; angles 122.40, 113.76, 93.51 degrees
Fractional positions:
Y  0.000  0.000  0.000
Y  0.500  0.000  0.500
Hg  0.394  0.644  0.750
Hg  0.606  0.356  0.250
Pt  0.000  0.000  0.500
Pt  0.000  0.500  0.000
O  0.181  0.248  0.932
O  0.184  0.752  0.432
O  0.228  0.198  0.470
O  0.228  0.758  0.030
O  0.772  0.242  0.970
O  0.772  0.802  0.530
O  0.816  0.248  0.568
O  0.819  0.752  0.068

The 10 most intense peaks (10 to 80 degrees two-theta), by intensity:
d 2.794, 2θ 32.03, I = 100; d 3.311, 2θ 26.93, I = 52; d 1.893, 2θ 48.06, I = 49; d 1.655, 2θ 55.51, I = 46; d 2.990, 2θ 29.88, I = 45; d 3.638, 2θ 24.47, I = 41; d 2.845, 2θ 31.45, I = 34; d 2.806, 2θ 31.89, I = 33; d 2.748, 2θ 32.58, I = 32; d 1.770, 2θ 51.64, I = 20

PuHg2O5: simulated powder diffraction line list (Cu Kα X-rays), based on a DFT-relaxed cell (PBE, Alexandria).
No peak broadening, texture or thermal motion is included.

Crystal structure
Cell lengths 6.613, 6.613, 8.457 Å; angles 107.89, 107.89, 47.26 degrees
Fractional positions:
Pu  0.000  0.000  0.000
Pu  0.000  0.000  0.500
Hg  0.278  0.396  0.697
Hg  0.396  0.278  0.197
Hg  0.604  0.722  0.803
Hg  0.722  0.604  0.303
O  0.031  0.653  0.360
O  0.177  0.647  0.040
O  0.203  0.797  0.750
O  0.347  0.969  0.140
O  0.353  0.823  0.460
O  0.647  0.177  0.540
O  0.653  0.031  0.860
O  0.797  0.203  0.250
O  0.823  0.353  0.960
O  0.969  0.347  0.640

The 10 most intense peaks (10 to 80 degrees two-theta), by intensity:
d 3.305, 2θ 26.97, I = 100; d 3.091, 2θ 28.88, I = 88; d 2.849, 2θ 31.40, I = 34; d 2.808, 2θ 31.87, I = 29; d 1.928, 2θ 47.13, I = 28; d 1.940, 2θ 46.82, I = 19; d 2.650, 2θ 33.82, I = 18; d 1.641, 2θ 56.05, I = 14; d 1.736, 2θ 52.74, I = 14; d 1.657, 2θ 55.45, I = 13

PuHgO6: simulated powder diffraction line list (Cu Kα X-rays), based on a DFT-relaxed cell (PBE, Alexandria).
No peak broadening, texture or thermal motion is included.

Crystal structure
Cell lengths 5.127, 5.127, 6.074 Å; angles 90.00, 90.00, 120.00 degrees
Fractional positions:
Pu  0.000  0.000  0.000
Hg  0.000  0.000  0.500
O  0.000  0.298  0.204
O  0.000  0.702  0.796
O  0.298  0.000  0.204
O  0.298  0.298  0.796
O  0.702  0.000  0.796
O  0.702  0.702  0.204

The 10 most intense peaks (10 to 80 degrees two-theta), by intensity:
d 4.440, 2θ 20.00, I = 100; d 2.507, 2θ 35.82, I = 42; d 1.959, 2θ 46.35, I = 26; d 2.563, 2θ 35.01, I = 19; d 1.469, 2θ 63.32, I = 18; d 1.792, 2θ 50.96, I = 18; d 2.220, 2θ 40.64, I = 14; d 1.678, 2θ 54.70, I = 13; d 1.437, 2θ 64.90, I = 8; d 3.037, 2θ 29.41, I = 8

Rb2PuHgO5: simulated powder diffraction line list (Cu Kα X-rays), based on a DFT-relaxed cell (PBE, Alexandria).
No peak broadening, texture or thermal motion is included.

Crystal structure
Cell lengths 7.430, 7.430, 7.430 Å; angles 145.96, 119.02, 71.71 degrees
Fractional positions:
Rb  0.248  0.248  0.000
Rb  0.752  0.752  0.000
Pu  0.500  0.000  0.500
Hg  0.000  0.500  0.500
O  0.212  0.885  0.327
O  0.441  0.115  0.327
O  0.500  0.500  0.000
O  0.559  0.885  0.673
O  0.788  0.115  0.673

The 10 most intense peaks (10 to 80 degrees two-theta), by intensity:
d 3.194, 2θ 27.94, I = 100; d 3.769, 2θ 23.61, I = 47; d 2.352, 2θ 38.26, I = 30; d 2.046, 2θ 44.26, I = 29; d 6.022, 2θ 14.71, I = 23; d 1.772, 2θ 51.59, I = 18; d 1.386, 2θ 67.59, I = 17; d 3.011, 2θ 29.67, I = 17; d 1.884, 2θ 48.31, I = 15; d 1.597, 2θ 57.73, I = 15